1.
For Zn2H4Os, a GGA-PBE-relaxed structure gives the calculated powder XRD pattern in this record (CuKα).

Most intense lines, 2θ = 10–90°, by angle:
(1 0 0), 16.81°, d = 5.275 Å, I 100
(1 0 -1), 17.79°, d = 4.985 Å, I 19
(0 1 1), 23.59°, d = 3.771 Å, I 22
(2 0 -1), 32.62°, d = 2.745 Å, I 17
(1 1 2), 39.90°, d = 2.260 Å, I 20
(0 2 0), 40.62°, d = 2.221 Å, I 17
(1 1 -3), 42.13°, d = 2.145 Å, I 29
(0 1 3), 43.14°, d = 2.097 Å, I 21
(1 2 0), 44.24°, d = 2.047 Å, I 18
(2 1 2), 52.98°, d = 1.728 Å, I 24

Crystal structure
```
data_Zn2H4Os
_chemical_formula_sum 'Zn4 H8 Os2'
_cell_length_a 5.5096
_cell_length_b 4.4425
_cell_length_c 7.4527
_cell_angle_alpha 90.00
_cell_angle_beta 106.78
_cell_angle_gamma 90.00
_space_group_name_H-M_alt 'P 1 21/m 1'
_space_group_IT_number 11
_space_group_name_Hall '-P 2yb'
loop_
_atom_site_label
_atom_site_fract_x
_atom_site_fract_y
_atom_site_fract_z
_atom_site_occupancy
Zn1 0.0262 0.2500 0.0996 1
Zn2 0.1133 0.2500 0.4681 1
H1 0.2104 0.2500 0.7650 1
H2 0.3267 0.7500 0.4769 1
H3 0.3531 0.5571 0.2453 1
Os1 0.1127 0.7500 0.2730 1
```


2.
For Ac4InTe2I, a GGA-PBE-relaxed structure gives the calculated powder XRD pattern in this record (CuKα).

Most intense lines, 2θ = 10–90°, by angle:
(1 1 1), 26.36°, d = 3.380 Å, I 100
(2 0 2), 37.36°, d = 2.407 Å, I 13
(1 1 -3), 37.50°, d = 2.398 Å, I 27
(3 1 -1), 37.75°, d = 2.383 Å, I 25
(0 2 0), 37.90°, d = 2.374 Å, I 13
(0 0 4), 46.09°, d = 1.969 Å, I 7
(2 2 -2), 46.76°, d = 1.943 Å, I 14
(2 2 2), 54.27°, d = 1.690 Å, I 14
(0 2 4), 61.14°, d = 1.516 Å, I 13
(4 2 0), 61.49°, d = 1.508 Å, I 12

Crystal structure
```
data_Ac4InTe2I
_chemical_formula_sum 'Ac4 In1 Te2 I1'
_cell_length_a 8.2643
_cell_length_b 4.7480
_cell_length_c 8.3365
_cell_angle_alpha 90.00
_cell_angle_beta 109.11
_cell_angle_gamma 90.00
_space_group_name_H-M_alt 'P 1 2/m 1'
_space_group_IT_number 10
_space_group_name_Hall '-P 2y'
loop_
_atom_site_label
_atom_site_fract_x
_atom_site_fract_y
_atom_site_fract_z
_atom_site_occupancy
Ac1 0.2338 0.0000 0.2451 1
Ac2 0.2387 0.5000 0.7471 1
In1 0.0000 0.0000 0.5000 1
Te1 0.0000 0.5000 0.0000 1
Te2 0.5000 0.0000 0.0000 1
I1 0.5000 0.5000 0.5000 1
```


3.
For CsThAgTe4, a GGA-PBE-relaxed structure gives the calculated powder XRD pattern in this record (CuKα).

Most intense lines, 2θ = 10–90°, by angle:
(1 0 2), 23.32°, d = 3.815 Å, I 41
(2 0 -2), 24.35°, d = 3.655 Å, I 58
(1 1 2), 27.39°, d = 3.256 Å, I 100
(2 1 -2), 28.29°, d = 3.155 Å, I 82
(1 2 0), 30.90°, d = 2.894 Å, I 79
(1 0 -4), 32.88°, d = 2.724 Å, I 64
(3 0 -1), 33.45°, d = 2.679 Å, I 60
(2 1 2), 35.92°, d = 2.500 Å, I 52
(3 1 -2), 37.09°, d = 2.424 Å, I 94
(1 2 -4), 44.13°, d = 2.052 Å, I 44

Crystal structure
```
data_CsThAgTe4
_chemical_formula_sum 'Cs2 Th2 Ag2 Te8'
_cell_length_a 8.0526
_cell_length_b 6.2466
_cell_length_c 10.9012
_cell_angle_alpha 90.00
_cell_angle_beta 107.31
_cell_angle_gamma 90.00
_space_group_name_H-M_alt 'P 1 21/m 1'
_space_group_IT_number 11
_space_group_name_Hall '-P 2yb'
loop_
_atom_site_label
_atom_site_fract_x
_atom_site_fract_y
_atom_site_fract_z
_atom_site_occupancy
Cs1 0.2236 0.2500 0.0498 1
Th1 0.2737 0.2500 0.5555 1
Ag1 0.2833 0.7500 0.3237 1
Te1 0.0157 0.5100 0.6909 1
Te2 0.4293 0.7500 0.5906 1
Te3 0.4850 0.7500 0.1643 1
```


4.
For La3Nd4Se8, a GGA-PBE-relaxed structure gives the calculated powder XRD pattern in this record (CuKα).

Most intense lines, 2θ = 10–90°, by angle:
(0 4 0), 29.66°, d = 3.012 Å, I 100
(4 0 0), 42.28°, d = 2.138 Å, I 13
(0 4 2), 42.45°, d = 2.130 Å, I 50
(4 0 -4), 42.62°, d = 2.122 Å, I 12
(4 4 0), 52.50°, d = 1.743 Å, I 13
(4 4 -4), 52.78°, d = 1.734 Å, I 13
(0 8 0), 61.59°, d = 1.506 Å, I 12
(0 8 2), 69.83°, d = 1.347 Å, I 22
(4 4 2), 77.43°, d = 1.233 Å, I 8
(8 4 -6), 77.89°, d = 1.226 Å, I 8

Crystal structure
```
data_La3Nd4Se8
_chemical_formula_sum 'La6 Nd8 Se16'
_cell_length_a 12.0442
_cell_length_b 12.0471
_cell_length_c 8.4861
_cell_angle_alpha 90.00
_cell_angle_beta 134.77
_cell_angle_gamma 90.00
_space_group_name_H-M_alt 'C 1 2/m 1'
_space_group_IT_number 12
_space_group_name_Hall '-C 2y'
loop_
_atom_site_label
_atom_site_fract_x
_atom_site_fract_y
_atom_site_fract_z
_atom_site_occupancy
La1 0.0000 0.0000 0.0000 1
La2 0.2500 0.2500 0.0000 1
Nd1 0.0000 0.5000 0.0000 1
Nd2 0.0000 0.5000 0.5000 1
Nd3 0.2500 0.2500 0.5000 1
Se1 0.0000 0.2496 0.5000 1
Se2 0.0000 0.2514 0.0000 1
Se3 0.2481 0.5000 0.9996 1
Se4 0.2495 0.5000 0.4971 1
```


5.
For Er3Co7Ge2, a GGA-PBE-relaxed structure gives the calculated powder XRD pattern in this record (CuKα).

Most intense lines, 2θ = 10–90°, by angle:
(1 0 7), 34.00°, d = 2.637 Å, I 43
(1 1 0), 34.75°, d = 2.582 Å, I 62
(0 1 8), 37.36°, d = 2.407 Å, I 30
(0 2 1), 40.54°, d = 2.225 Å, I 37
(1 1 6), 42.29°, d = 2.137 Å, I 100
(2 1 7), 61.81°, d = 1.501 Å, I 15
(1 2 8), 64.01°, d = 1.455 Å, I 12
(0 3 6), 67.48°, d = 1.388 Å, I 24
(1 1 15), 72.00°, d = 1.312 Å, I 17
(2 2 0), 73.34°, d = 1.291 Å, I 23

Crystal structure
```
data_Er3Co7Ge2
_chemical_formula_sum 'Er9 Co21 Ge6'
_cell_length_a 5.1635
_cell_length_b 5.1635
_cell_length_c 22.8505
_cell_angle_alpha 90.00
_cell_angle_beta 90.00
_cell_angle_gamma 120.00
_space_group_name_H-M_alt 'R -3 m'
_space_group_IT_number 166
_space_group_name_Hall '-R 3 2"'
loop_
_atom_site_label
_atom_site_fract_x
_atom_site_fract_y
_atom_site_fract_z
_atom_site_occupancy
Er1 0.0000 0.0000 0.0000 1
Er2 0.0000 0.0000 0.1410 1
Co1 0.0000 0.0000 0.5000 1
Co2 0.0017 0.5009 0.0820 1
Ge1 0.0000 0.0000 0.3331 1
```


6.
For Hf4Co4Si7, a GGA-PBE-relaxed structure gives the calculated powder XRD pattern in this record (CuKα).

Most intense lines, 2θ = 10–90°, by angle:
(3 0 1), 27.30°, d = 3.266 Å, I 24
(3 2 1), 30.70°, d = 2.913 Å, I 40
(4 1 1), 33.78°, d = 2.653 Å, I 30
(0 0 2), 35.62°, d = 2.521 Å, I 20
(5 0 1), 39.31°, d = 2.292 Å, I 100
(4 4 0), 39.62°, d = 2.275 Å, I 22
(6 0 0), 42.17°, d = 2.143 Å, I 69
(3 2 3), 60.91°, d = 1.521 Å, I 14
(5 0 3), 66.47°, d = 1.407 Å, I 21
(7 3 2), 66.64°, d = 1.403 Å, I 27

Crystal structure
```
data_Hf4Co4Si7
_chemical_formula_sum 'Hf16 Co16 Si28'
_cell_length_a 12.8678
_cell_length_b 12.8678
_cell_length_c 5.0395
_cell_angle_alpha 90.00
_cell_angle_beta 90.00
_cell_angle_gamma 90.00
_space_group_name_H-M_alt 'I 4/m m m'
_space_group_IT_number 139
_space_group_name_Hall '-I 4 2'
loop_
_atom_site_label
_atom_site_fract_x
_atom_site_fract_y
_atom_site_fract_z
_atom_site_occupancy
Hf1 0.0000 0.1966 0.0000 1
Hf2 0.1377 0.1377 0.5000 1
Co1 0.1480 0.3520 0.2500 1
Si1 0.0000 0.0000 0.2492 1
Si2 0.0000 0.3013 0.5000 1
Si3 0.0000 0.4081 0.0000 1
Si4 0.2102 0.2102 0.0000 1
```